La3Rh2Br: simulated X-ray diffraction stick pattern (Cu Kα X-rays), based on a DFT-relaxed cell (GGA-PBE, Alexandria).
Kinematic intensities with the Lorentz-polarization factor, no thermal factor.

Structure:
```
data_La3Rh2Br
_chemical_formula_sum 'La12 Rh8 Br4'
_space_group_name_H-M_alt 'C m c m'
_space_group_IT_number 63
_space_group_name_Hall '-C 2c 2'
_cell_length_a 4.2699
_cell_length_b 15.9907
_cell_length_c 10.0353
_cell_angle_alpha 90.00
_cell_angle_beta 90.00
_cell_angle_gamma 90.00
loop_
_atom_site_label
_atom_site_type_symbol
_atom_site_fract_x
_atom_site_fract_y
_atom_site_fract_z
_atom_site_occupancy
La1 La 0.0000 0.1145 0.0558 1
La2 La 0.0000 0.3820 0.2500 1
Rh1 Rh 0.0000 0.0131 0.7500 1
Rh2 Rh 0.0000 0.5000 0.0000 1
Br1 Br 0.0000 0.2781 0.7500 1
```

Top 8 peaks for 2θ = 10–90°, in order of rising 2θ:
Position (°2θ)  I_rel
11.1  52
28.2  38
28.9  43
32.2  100
35.8  21
39.5  56
42.3  29
53.3  17

***

La7RhBr12: simulated X-ray diffraction stick pattern (Cu Kα X-rays), based on a DFT-relaxed cell (GGA-PBE, Alexandria).
Kinematic intensities with the Lorentz-polarization factor, no thermal factor.

Structure:
```
data_La7RhBr12
_chemical_formula_sum 'La21 Rh3 Br36'
_space_group_name_H-M_alt 'R -3'
_space_group_IT_number 148
_space_group_name_Hall '-R 3'
_cell_length_a 15.6036
_cell_length_b 15.6036
_cell_length_c 10.9913
_cell_angle_alpha 90.00
_cell_angle_beta 90.00
_cell_angle_gamma 120.00
loop_
_atom_site_label
_atom_site_type_symbol
_atom_site_fract_x
_atom_site_fract_y
_atom_site_fract_z
_atom_site_occupancy
La1 La 0.0000 0.0000 0.0000 1
La2 La 0.0382 0.8723 0.3525 1
Rh1 Rh 0.0000 0.0000 0.5000 1
Br1 Br 0.0237 0.4397 0.1543 1
Br2 Br 0.0413 0.8721 0.8364 1
```

Top 8 peaks for 2θ = 10–90°, in order of rising 2θ:
Position (°2θ)  I_rel
10.4  18
11.3  40
28.8  100
40.7  37
41.7  35
51.5  17
66.9  13
68.4  15

***

La8RuRh3Br3: simulated X-ray diffraction stick pattern (Cu Kα X-rays), based on a DFT-relaxed cell (GGA-PBE, Alexandria).
Kinematic intensities with the Lorentz-polarization factor, no thermal factor.

Structure:
```
data_La8RuRh3Br3
_chemical_formula_sum 'La16 Ru2 Rh6 Br6'
_space_group_name_H-M_alt 'C 1 2/m 1'
_space_group_IT_number 12
_space_group_name_Hall '-C 2y'
_cell_length_a 14.4860
_cell_length_b 8.3522
_cell_length_c 9.2473
_cell_angle_alpha 90.00
_cell_angle_beta 121.46
_cell_angle_gamma 90.00
loop_
_atom_site_label
_atom_site_type_symbol
_atom_site_fract_x
_atom_site_fract_y
_atom_site_fract_z
_atom_site_occupancy
La1 La 0.0159 0.2455 0.3026 1
La2 La 0.2295 0.0000 0.6973 1
La3 La 0.2318 0.5000 0.6949 1
Ru1 Ru 0.0000 0.0000 0.5000 1
Rh1 Rh 0.0000 0.5000 0.5000 1
Rh2 Rh 0.2500 0.2500 0.5000 1
Br1 Br 0.0000 0.0000 0.0000 1
Br2 Br 0.2500 0.2500 0.0000 1
```

Top 8 peaks for 2θ = 10–90°, in order of rising 2θ:
Position (°2θ)  I_rel
11.2  32
28.9  100
36.4  18
39.3  29
43.3  37
49.3  13
52.9  18
70.7  15

***

La3TeRhBr: simulated X-ray diffraction stick pattern (Cu Kα X-rays), based on a DFT-relaxed cell (GGA-PBE, Alexandria).
Kinematic intensities with the Lorentz-polarization factor, no thermal factor.

Structure:
```
data_La3TeRhBr
_chemical_formula_sum 'La6 Te2 Rh2 Br2'
_space_group_name_H-M_alt 'P 1 21/m 1'
_space_group_IT_number 11
_space_group_name_Hall '-P 2yb'
_cell_length_a 7.5057
_cell_length_b 4.1160
_cell_length_c 12.1817
_cell_angle_alpha 90.00
_cell_angle_beta 101.13
_cell_angle_gamma 90.00
loop_
_atom_site_label
_atom_site_type_symbol
_atom_site_fract_x
_atom_site_fract_y
_atom_site_fract_z
_atom_site_occupancy
La1 La 0.0456 0.2500 0.1328 1
La2 La 0.2848 0.2500 0.4975 1
La3 La 0.4446 0.7500 0.8576 1
Te1 Te 0.3519 0.7500 0.3051 1
Rh1 Rh 0.2340 0.2500 0.9503 1
Br1 Br 0.1158 0.7500 0.6395 1
```

Top 8 peaks for 2θ = 10–90°, in order of rising 2θ:
Position (°2θ)  I_rel
26.3  26
27.7  100
30.9  58
33.9  52
34.6  60
34.8  55
43.8  26
44.0  42

***

La2RuBr: simulated X-ray diffraction stick pattern (Cu Kα X-rays), based on a DFT-relaxed cell (GGA-PBE, Alexandria).
Kinematic intensities with the Lorentz-polarization factor, no thermal factor.

Structure:
```
data_La2RuBr
_chemical_formula_sum 'La4 Ru2 Br2'
_space_group_name_H-M_alt 'C m m m'
_space_group_IT_number 65
_space_group_name_Hall '-C 2 2'
_cell_length_a 4.7477
_cell_length_b 5.2335
_cell_length_c 8.3862
_cell_angle_alpha 90.00
_cell_angle_beta 90.00
_cell_angle_gamma 90.00
loop_
_atom_site_label
_atom_site_type_symbol
_atom_site_fract_x
_atom_site_fract_y
_atom_site_fract_z
_atom_site_occupancy
La1 La 0.0000 0.0000 0.2103 1
Ru1 Ru 0.0000 0.5000 0.0000 1
Br1 Br 0.0000 0.5000 0.5000 1
```

Top 8 peaks for 2θ = 10–90°, in order of rising 2θ:
Position (°2θ)  I_rel
10.5  16
33.3  100
34.3  27
37.9  20
41.3  13
52.0  16
60.7  17
65.5  14

***

La5RuBr5: simulated X-ray diffraction stick pattern (Cu Kα X-rays), based on a DFT-relaxed cell (GGA-PBE, Alexandria).
Kinematic intensities with the Lorentz-polarization factor, no thermal factor.

Structure:
```
data_La5RuBr5
_chemical_formula_sum 'La10 Ru2 Br10'
_space_group_name_H-M_alt 'C 1 2/m 1'
_space_group_IT_number 12
_space_group_name_Hall '-C 2y'
_cell_length_a 13.3059
_cell_length_b 6.1459
_cell_length_c 8.9603
_cell_angle_alpha 90.00
_cell_angle_beta 110.11
_cell_angle_gamma 90.00
loop_
_atom_site_label
_atom_site_type_symbol
_atom_site_fract_x
_atom_site_fract_y
_atom_site_fract_z
_atom_site_occupancy
La1 La 0.0000 0.0000 0.0000 1
La2 La 0.1439 0.5000 0.2861 1
La3 La 0.1705 0.5000 0.8644 1
Ru1 Ru 0.0000 0.5000 0.0000 1
Br1 Br 0.0000 0.5000 0.5000 1
Br2 Br 0.1457 0.0000 0.7887 1
Br3 Br 0.1722 0.0000 0.3569 1
```

Top 8 peaks for 2θ = 10–90°, in order of rising 2θ:
Position (°2θ)  I_rel
10.5  33
29.1  100
29.2  97
29.4  69
30.7  31
33.6  32
41.6  73
41.8  52

***

La4Ru2Br5: simulated X-ray diffraction stick pattern (Cu Kα X-rays), based on a DFT-relaxed cell (GGA-PBE, Alexandria).
Kinematic intensities with the Lorentz-polarization factor, no thermal factor.

Structure:
```
data_La4Ru2Br5
_chemical_formula_sum 'La8 Ru4 Br10'
_space_group_name_H-M_alt 'I m m m'
_space_group_IT_number 71
_space_group_name_Hall '-I 2 2'
_cell_length_a 4.2875
_cell_length_b 8.6148
_cell_length_c 18.8698
_cell_angle_alpha 90.00
_cell_angle_beta 90.00
_cell_angle_gamma 90.00
loop_
_atom_site_label
_atom_site_type_symbol
_atom_site_fract_x
_atom_site_fract_y
_atom_site_fract_z
_atom_site_occupancy
La1 La 0.0000 0.0000 0.1840 1
La2 La 0.0000 0.2792 0.5000 1
Ru1 Ru 0.0000 0.0000 0.0642 1
Br1 Br 0.0000 0.2213 0.3290 1
Br2 Br 0.0000 0.5000 0.0000 1
```

Top 8 peaks for 2θ = 10–90°, in order of rising 2θ:
Position (°2θ)  I_rel
11.3  45
23.2  25
28.4  25
29.8  100
34.3  19
38.0  38
42.2  21
45.1  21

***

La4RuSeBr2: simulated X-ray diffraction stick pattern (Cu Kα X-rays), based on a DFT-relaxed cell (GGA-PBE, Alexandria).
Kinematic intensities with the Lorentz-polarization factor, no thermal factor.

Structure:
```
data_La4RuSeBr2
_chemical_formula_sum 'La4 Ru1 Se1 Br2'
_space_group_name_H-M_alt 'P 1 2/m 1'
_space_group_IT_number 10
_space_group_name_Hall '-P 2y'
_cell_length_a 7.6670
_cell_length_b 4.1748
_cell_length_c 7.8439
_cell_angle_alpha 90.00
_cell_angle_beta 106.37
_cell_angle_gamma 90.00
loop_
_atom_site_label
_atom_site_type_symbol
_atom_site_fract_x
_atom_site_fract_y
_atom_site_fract_z
_atom_site_occupancy
La1 La 0.2153 0.0000 0.2055 1
La2 La 0.2429 0.5000 0.7896 1
Ru1 Ru 0.0000 0.5000 0.0000 1
Se1 Se 0.5000 0.0000 0.0000 1
Br1 Br 0.0000 0.0000 0.5000 1
Br2 Br 0.5000 0.5000 0.5000 1
```

Top 8 peaks for 2θ = 10–90°, in order of rising 2θ:
Position (°2θ)  I_rel
11.8  10
28.8  100
38.8  11
40.8  21
41.5  25
43.3  12
52.9  12
59.5  9

***

LaTc2RuBr: simulated X-ray diffraction stick pattern (Cu Kα X-rays), based on a DFT-relaxed cell (GGA-PBE, Alexandria).
Kinematic intensities with the Lorentz-polarization factor, no thermal factor.

Structure:
```
data_LaTc2RuBr
_chemical_formula_sum 'La1 Tc2 Ru1 Br1'
_space_group_name_H-M_alt 'P 4/m m m'
_space_group_IT_number 123
_space_group_name_Hall '-P 4 2'
_cell_length_a 4.5448
_cell_length_b 4.5448
_cell_length_c 5.4386
_cell_angle_alpha 90.00
_cell_angle_beta 90.00
_cell_angle_gamma 90.00
loop_
_atom_site_label
_atom_site_type_symbol
_atom_site_fract_x
_atom_site_fract_y
_atom_site_fract_z
_atom_site_occupancy
La1 La 0.0000 0.0000 0.0000 1
Tc1 Tc 0.0000 0.5000 0.5000 1
Ru1 Ru 0.5000 0.5000 0.0000 1
Br1 Br 0.0000 0.0000 0.5000 1
```

Top 8 peaks for 2θ = 10–90°, in order of rising 2θ:
Position (°2θ)  I_rel
19.5  18
32.4  100
32.9  51
39.7  60
52.5  53
57.3  20
67.4  23
67.7  24

***

La5S4Br: simulated X-ray diffraction stick pattern (Cu Kα X-rays), based on a DFT-relaxed cell (GGA-PBE, Alexandria).
Kinematic intensities with the Lorentz-polarization factor, no thermal factor.

Structure:
```
data_La5S4Br
_chemical_formula_sum 'La15 S12 Br3'
_space_group_name_H-M_alt 'R -3 m'
_space_group_IT_number 166
_space_group_name_Hall '-R 3 2"'
_cell_length_a 4.1553
_cell_length_b 4.1553
_cell_length_c 52.3681
_cell_angle_alpha 90.00
_cell_angle_beta 90.00
_cell_angle_gamma 120.00
loop_
_atom_site_label
_atom_site_type_symbol
_atom_site_fract_x
_atom_site_fract_y
_atom_site_fract_z
_atom_site_occupancy
La1 La 0.0000 0.0000 0.0000 1
La2 La 0.0000 0.0000 0.2061 1
La3 La 0.0000 0.0000 0.3986 1
S1 S 0.0000 0.0000 0.0970 1
S2 S 0.0000 0.0000 0.3009 1
Br1 Br 0.0000 0.0000 0.5000 1
```

Top 8 peaks for 2θ = 10–90°, in order of rising 2θ:
Position (°2θ)  I_rel
25.5  12
26.2  39
30.1  100
42.7  32
43.6  37
51.2  11
53.9  19
71.7  16

***

LaSBr: simulated X-ray diffraction stick pattern (Cu Kα X-rays), based on a DFT-relaxed cell (GGA-PBE, Alexandria).
Kinematic intensities with the Lorentz-polarization factor, no thermal factor.

Structure:
```
data_LaSBr
_chemical_formula_sum 'La8 S8 Br8'
_space_group_name_H-M_alt 'P b c a'
_space_group_IT_number 61
_space_group_name_Hall '-P 2ac 2ab'
_cell_length_a 7.0322
_cell_length_b 14.2120
_cell_length_c 7.1969
_cell_angle_alpha 90.00
_cell_angle_beta 90.00
_cell_angle_gamma 90.00
loop_
_atom_site_label
_atom_site_type_symbol
_atom_site_fract_x
_atom_site_fract_y
_atom_site_fract_z
_atom_site_occupancy
La1 La 0.2435 0.0929 0.0310 1
S1 S 0.0002 0.0215 0.7431 1
Br1 Br 0.1447 0.7085 0.3864 1
```

Top 8 peaks for 2θ = 10–90°, in order of rising 2θ:
Position (°2θ)  I_rel
21.6  100
25.3  26
30.6  25
30.8  82
35.7  37
38.0  21
41.8  27
42.5  32

***

La3SBr3: simulated X-ray diffraction stick pattern (Cu Kα X-rays), based on a DFT-relaxed cell (GGA-PBE, Alexandria).
Kinematic intensities with the Lorentz-polarization factor, no thermal factor.

Structure:
```
data_La3SBr3
_chemical_formula_sum 'La24 S8 Br24'
_space_group_name_H-M_alt 'I 41 3 2'
_space_group_IT_number 214
_space_group_name_Hall 'I 4bd 2c 3'
_cell_length_a 11.9586
_cell_length_b 11.9586
_cell_length_c 11.9586
_cell_angle_alpha 90.00
_cell_angle_beta 90.00
_cell_angle_gamma 90.00
loop_
_atom_site_label
_atom_site_type_symbol
_atom_site_fract_x
_atom_site_fract_y
_atom_site_fract_z
_atom_site_occupancy
La1 La 0.1116 0.3616 0.1250 1
S1 S 0.1250 0.1250 0.1250 1
Br1 Br 0.1163 0.1337 0.6250 1
```

Top 8 peaks for 2θ = 10–90°, in order of rising 2θ:
Position (°2θ)  I_rel
10.5  17
27.9  32
29.9  100
35.2  18
42.8  70
53.1  23
70.4  26
78.3  18

***

LaSBr: simulated X-ray diffraction stick pattern (Cu Kα X-rays), based on a DFT-relaxed cell (GGA-PBE, Alexandria).
Kinematic intensities with the Lorentz-polarization factor, no thermal factor.

Structure:
```
data_LaSBr
_chemical_formula_sum 'La16 S16 Br16'
_space_group_name_H-M_alt 'F d d 2'
_space_group_IT_number 43
_space_group_name_Hall 'F 2 -2d'
_cell_length_a 11.7484
_cell_length_b 13.8266
_cell_length_c 8.9772
_cell_angle_alpha 90.00
_cell_angle_beta 90.00
_cell_angle_gamma 90.00
loop_
_atom_site_label
_atom_site_type_symbol
_atom_site_fract_x
_atom_site_fract_y
_atom_site_fract_z
_atom_site_occupancy
La1 La 0.0610 0.2337 0.0000 1
S1 S 0.0171 0.1290 0.7281 1
Br1 Br 0.0795 0.1252 0.2986 1
```

Top 8 peaks for 2θ = 10–90°, in order of rising 2θ:
Position (°2θ)  I_rel
19.8  85
23.0  51
23.6  100
25.6  46
31.6  99
36.2  95
38.4  39
40.2  75